Theoretical XRD peak list of Gd2GaHg5 for CuKα, from DFT lattice parameters and positions (GGA-PBE).
Neutral-atom scattering factors, no anomalous dispersion.

Atomic structure:
Cell lengths 4.991, 6.586, 11.567 Å; angles 90.00, 90.00, 90.00 degrees
Space group Amm2 (No. 38)
One atom of each set of equivalent atoms:
1 Gd 0.000 0.000 0.000 x2
2 Gd 0.500 0.000 0.335 x2
3 Ga 0.500 0.000 0.832 x2
4 Hg 0.000 0.000 0.504 x2
5 Hg 0.000 0.243 0.754 x4
6 Hg 0.500 0.248 0.587 x4

Largest 8 diffraction maxima, low angle first, 2θ = 10–90°:
2θ 31.3, I 24.6, (0 2 2); 2θ 35.9, I 84.1, (2 0 0); 2θ 36.2, I 100.0, (1 2 2); 2θ 48.4, I 14.8, (2 2 2); 2θ 55.2, I 19.9, (0 2 6); 2θ 64.8, I 18.6, (3 2 2); 2θ 67.7, I 21.6, (2 2 6); 2θ 68.2, I 26.3, (2 4 0)